Diffraction record for Ba2LuMgSbO6. The powder diffraction line list is theoretical, not measured: it uses a DFT-relaxed cell (PBE, the Materials Project) and Cu Kα X-rays.
Kinematic intensities with the Lorentz-polarization factor, no thermal factor.

Crystal structure
```
data_Ba2LuMgSbO6
_chemical_formula_sum 'Ba2 Lu1 Mg1 Sb1 O6'
_cell_length_a 6.555
_cell_length_b 6.555
_cell_length_c 6.555
_cell_angle_alpha 124.81
_cell_angle_beta 123.36
_cell_angle_gamma 83.07
_symmetry_space_group_name_H-M 'P 1'
_symmetry_Int_Tables_number 1
_symmetry_space_group_name_Hall 'P 1'
loop_
_atom_site_label
_atom_site_type_symbol
_atom_site_fract_x
_atom_site_fract_y
_atom_site_fract_z
Ba1 Ba 0.193 0.193 0.000
Ba2 Ba 0.807 0.807 0.000
Lu1 Lu 0.500 0.000 0.500
Mg1 Mg 0.500 0.500 0.000
Sb1 Sb 0.000 0.500 0.500
O1 O 0.261 0.761 0.500
O2 O 0.269 0.262 0.532
O3 O 0.269 0.738 0.007
O4 O 0.731 0.262 0.993
O5 O 0.731 0.738 0.468
O6 O 0.739 0.239 0.500
```

Peak list (10 most intense, 10 to 90 degrees two-theta, in order of falling intensity)
2θ 27.42, I = 100; 2θ 41.57, I = 40; 2θ 28.70, I = 36; 2θ 29.41, I = 34; 2θ 50.07, I = 20; 2θ 30.88, I = 19; 2θ 50.96, I = 19; 2θ 43.17, I = 14; 2θ 56.58, I = 13; 2θ 36.63, I = 13


Diffraction record for SrTi7N10. The powder diffraction line list is theoretical, not measured: it uses a DFT-relaxed cell (PBE, the Materials Project) and Cu Kα X-rays.
Kinematic intensities with the Lorentz-polarization factor, no thermal factor.

Crystal structure
```
data_SrTi7N10
_chemical_formula_sum 'Sr2 Ti14 N20'
_cell_length_a 7.378
_cell_length_b 7.392
_cell_length_c 10.959
_cell_angle_alpha 90.00
_cell_angle_beta 102.47
_cell_angle_gamma 90.00
_symmetry_space_group_name_H-M 'P 1'
_symmetry_Int_Tables_number 1
_symmetry_space_group_name_Hall 'P 1'
loop_
_atom_site_label
_atom_site_type_symbol
_atom_site_fract_x
_atom_site_fract_y
_atom_site_fract_z
Sr1 Sr 0.000 0.003 0.000
Sr2 Sr 0.000 0.997 0.500
Ti1 Ti 0.214 0.403 0.960
Ti2 Ti 0.214 0.597 0.460
Ti3 Ti 0.396 0.386 0.273
Ti4 Ti 0.396 0.614 0.773
Ti5 Ti 0.466 0.017 0.912
Ti6 Ti 0.466 0.983 0.412
Ti7 Ti 0.572 0.383 0.576
Ti8 Ti 0.572 0.617 0.076
Ti9 Ti 0.650 0.016 0.210
Ti10 Ti 0.650 0.984 0.710
Ti11 Ti 0.758 0.372 0.876
Ti12 Ti 0.758 0.628 0.376
Ti13 Ti 0.953 0.370 0.188
Ti14 Ti 0.953 0.630 0.688
N1 N 0.167 0.420 0.321
N2 N 0.167 0.580 0.821
N3 N 0.264 0.162 0.927
N4 N 0.264 0.838 0.427
N5 N 0.361 0.494 0.614
N6 N 0.361 0.506 0.114
N7 N 0.444 0.133 0.265
N8 N 0.444 0.867 0.765
N9 N 0.558 0.123 0.561
N10 N 0.558 0.877 0.061
N11 N 0.560 0.494 0.418
N12 N 0.560 0.506 0.918
N13 N 0.686 0.125 0.863
N14 N 0.686 0.875 0.363
N15 N 0.770 0.453 0.711
N16 N 0.770 0.547 0.211
N17 N 0.872 0.136 0.206
N18 N 0.872 0.864 0.706
N19 N 0.976 0.370 0.010
N20 N 0.976 0.630 0.510
```

Peak list (10 most intense, 10 to 90 degrees two-theta, in order of falling intensity)
2θ 24.08, I = 100; 2θ 27.57, I = 97; 2θ 29.34, I = 80; 2θ 17.89, I = 76; 2θ 27.18, I = 68; 2θ 27.77, I = 66; 2θ 35.07, I = 61; 2θ 35.32, I = 61; 2θ 25.78, I = 51; 2θ 22.74, I = 46


Diffraction record for CaLaI5. The powder diffraction line list is theoretical, not measured: it uses a DFT-relaxed cell (PBE, the Materials Project) and Cu Kα X-rays.
Kinematic intensities with the Lorentz-polarization factor, no thermal factor.

Crystal structure
```
data_CaLaI5
_chemical_formula_sum 'Ca4 La4 I20'
_cell_length_a 18.298
_cell_length_b 4.497
_cell_length_c 15.200
_cell_angle_alpha 90.00
_cell_angle_beta 90.00
_cell_angle_gamma 90.00
_symmetry_space_group_name_H-M 'P 1'
_symmetry_Int_Tables_number 1
_symmetry_space_group_name_Hall 'P 1'
loop_
_atom_site_label
_atom_site_type_symbol
_atom_site_fract_x
_atom_site_fract_y
_atom_site_fract_z
Ca1 Ca 0.092 0.250 0.239
Ca2 Ca 0.408 0.750 0.739
Ca3 Ca 0.592 0.250 0.261
Ca4 Ca 0.908 0.750 0.761
La1 La 0.157 0.250 0.743
La2 La 0.343 0.750 0.243
La3 La 0.657 0.250 0.757
La4 La 0.843 0.750 0.257
I1 I 0.017 0.750 0.350
I2 I 0.059 0.750 0.861
I3 I 0.154 0.750 0.596
I4 I 0.170 0.750 0.133
I5 I 0.239 0.250 0.349
I6 I 0.261 0.750 0.849
I7 I 0.330 0.250 0.633
I8 I 0.346 0.250 0.096
I9 I 0.441 0.250 0.361
I10 I 0.483 0.250 0.850
I11 I 0.517 0.750 0.150
I12 I 0.559 0.750 0.639
I13 I 0.654 0.750 0.904
I14 I 0.670 0.750 0.367
I15 I 0.739 0.250 0.151
I16 I 0.761 0.750 0.651
I17 I 0.830 0.250 0.867
I18 I 0.846 0.250 0.404
I19 I 0.941 0.250 0.139
I20 I 0.983 0.250 0.650
```

Peak list (10 most intense, 10 to 90 degrees two-theta, in order of falling intensity)
2θ 27.02, I = 100; 2θ 27.29, I = 93; 2θ 32.36, I = 66; 2θ 11.64, I = 60; 2θ 36.07, I = 47; 2θ 23.43, I = 35; 2θ 40.10, I = 30; 2θ 49.04, I = 28; 2θ 24.99, I = 23; 2θ 43.61, I = 21


Diffraction record for TaTiZnP3O12. The powder diffraction line list is theoretical, not measured: it uses a DFT-relaxed cell (PBE, the Materials Project) and Cu Kα X-rays.
Kinematic intensities with the Lorentz-polarization factor, no thermal factor.

Crystal structure
```
data_TaTiZnP3O12
_chemical_formula_sum 'Ta2 Ti2 Zn2 P6 O24'
_cell_length_a 9.344
_cell_length_b 9.344
_cell_length_c 9.344
_cell_angle_alpha 54.25
_cell_angle_beta 54.25
_cell_angle_gamma 54.25
_symmetry_space_group_name_H-M 'P 1'
_symmetry_Int_Tables_number 1
_symmetry_space_group_name_Hall 'P 1'
loop_
_atom_site_label
_atom_site_type_symbol
_atom_site_fract_x
_atom_site_fract_y
_atom_site_fract_z
Ta1 Ta 0.000 0.000 0.000
Ta2 Ta 0.500 0.500 0.500
Ti1 Ti 0.200 0.200 0.200
Ti2 Ti 0.700 0.700 0.700
Zn1 Zn 0.348 0.348 0.348
Zn2 Zn 0.848 0.848 0.848
P1 P 0.093 0.823 0.389
P2 P 0.323 0.593 0.889
P3 P 0.389 0.093 0.823
P4 P 0.593 0.889 0.323
P5 P 0.823 0.389 0.093
P6 P 0.889 0.323 0.593
O1 O 0.002 0.362 0.091
O2 O 0.054 0.279 0.418
O3 O 0.091 0.002 0.362
O4 O 0.098 0.843 0.208
O5 O 0.156 0.779 0.923
O6 O 0.208 0.098 0.843
O7 O 0.279 0.418 0.054
O8 O 0.279 0.656 0.423
O9 O 0.343 0.598 0.708
O10 O 0.362 0.091 0.002
O11 O 0.418 0.054 0.279
O12 O 0.423 0.279 0.656
O13 O 0.502 0.591 0.862
O14 O 0.554 0.918 0.779
O15 O 0.591 0.862 0.502
O16 O 0.598 0.708 0.343
O17 O 0.656 0.423 0.279
O18 O 0.708 0.343 0.598
O19 O 0.779 0.554 0.918
O20 O 0.779 0.923 0.156
O21 O 0.843 0.208 0.098
O22 O 0.862 0.502 0.591
O23 O 0.918 0.779 0.554
O24 O 0.923 0.156 0.779
```

Peak list (10 most intense, 10 to 90 degrees two-theta, in order of falling intensity)
2θ 30.78, I = 100; 2θ 20.85, I = 96; 2θ 14.12, I = 53; 2θ 19.15, I = 36; 2θ 23.70, I = 35; 2θ 48.49, I = 31; 2θ 36.53, I = 29; 2θ 28.45, I = 25; 2θ 43.26, I = 22; 2θ 57.21, I = 20


Diffraction record for HfFeSb. The powder diffraction line list is theoretical, not measured: it uses a DFT-relaxed cell (PBE, the Materials Project) and Cu Kα X-rays.
Kinematic intensities with the Lorentz-polarization factor, no thermal factor.

Crystal structure
```
data_HfFeSb
_chemical_formula_sum 'Hf4 Fe4 Sb4'
_cell_length_a 6.767
_cell_length_b 4.242
_cell_length_c 7.378
_cell_angle_alpha 90.00
_cell_angle_beta 90.00
_cell_angle_gamma 90.00
_symmetry_space_group_name_H-M 'P 1'
_symmetry_Int_Tables_number 1
_symmetry_space_group_name_Hall 'P 1'
loop_
_atom_site_label
_atom_site_type_symbol
_atom_site_fract_x
_atom_site_fract_y
_atom_site_fract_z
Hf1 Hf 0.004 0.250 0.205
Hf2 Hf 0.496 0.750 0.705
Hf3 Hf 0.504 0.250 0.295
Hf4 Hf 0.996 0.750 0.795
Fe1 Fe 0.144 0.250 0.562
Fe2 Fe 0.356 0.750 0.062
Fe3 Fe 0.644 0.250 0.938
Fe4 Fe 0.856 0.750 0.438
Sb1 Sb 0.230 0.750 0.391
Sb2 Sb 0.270 0.250 0.891
Sb3 Sb 0.730 0.750 0.109
Sb4 Sb 0.770 0.250 0.609
```

Peak list (10 most intense, 10 to 90 degrees two-theta, in order of falling intensity)
2θ 36.06, I = 100; 2θ 42.49, I = 31; 2θ 42.63, I = 25; 2θ 34.85, I = 25; 2θ 27.57, I = 15; 2θ 24.17, I = 14; 2θ 47.26, I = 12; 2θ 57.01, I = 11; 2θ 69.46, I = 10; 2θ 38.97, I = 10


Diffraction record for KAsO3. The powder diffraction line list is theoretical, not measured: it uses a DFT-relaxed cell (PBE, the Materials Project) and Cu Kα X-rays.
Kinematic intensities with the Lorentz-polarization factor, no thermal factor.

Crystal structure
```
data_KAsO3
_chemical_formula_sum 'K4 As4 O12'
_cell_length_a 4.782
_cell_length_b 6.105
_cell_length_c 13.539
_cell_angle_alpha 90.00
_cell_angle_beta 90.00
_cell_angle_gamma 90.00
_symmetry_space_group_name_H-M 'P 1'
_symmetry_Int_Tables_number 1
_symmetry_space_group_name_Hall 'P 1'
loop_
_atom_site_label
_atom_site_type_symbol
_atom_site_fract_x
_atom_site_fract_y
_atom_site_fract_z
K1 K 0.199 0.214 0.148
K2 K 0.301 0.786 0.648
K3 K 0.699 0.286 0.852
K4 K 0.801 0.714 0.352
As1 As 0.189 0.796 0.921
As2 As 0.311 0.204 0.421
As3 As 0.689 0.704 0.079
As4 As 0.811 0.296 0.579
O1 O 0.163 0.218 0.544
O2 O 0.188 0.060 0.889
O3 O 0.208 0.399 0.343
O4 O 0.292 0.601 0.843
O5 O 0.312 0.940 0.389
O6 O 0.337 0.782 0.044
O7 O 0.663 0.282 0.456
O8 O 0.688 0.440 0.111
O9 O 0.708 0.101 0.657
O10 O 0.792 0.899 0.157
O11 O 0.812 0.560 0.611
O12 O 0.837 0.718 0.956
```

Peak list (10 most intense, 10 to 90 degrees two-theta, in order of falling intensity)
2θ 24.54, I = 100; 2θ 15.93, I = 87; 2θ 30.93, I = 46; 2θ 13.08, I = 35; 2θ 27.12, I = 31; 2θ 29.26, I = 29; 2θ 26.33, I = 28; 2θ 22.77, I = 23; 2θ 37.62, I = 21; 2θ 32.41, I = 20